Theoretical powder diffraction line list of MgGa for λ = 1.5418 Å (Cu Kα), from a structure optimized by DFT (GGA-PBE).
Intensities are scaled so that the largest is 1000.

Peak list (12 most intense, 2θ from 10° to 90°, by angle)
4.604 Å, 19.28°, I 299, (0 1 1); 3.355 Å, 26.57°, I 178, (1 2 0); 2.695 Å, 33.24°, I 308, (0 3 1); 2.394 Å, 37.57°, I 365, (2 0 0); 2.349 Å, 38.32°, I 1000, (1 3 1); 2.312 Å, 38.96°, I 537, (1 0 2); 1.790 Å, 51.02°, I 178, (2 3 1); 1.535 Å, 60.31°, I 172, (0 3 3); 1.373 Å, 68.30°, I 171, (3 3 1); 1.311 Å, 72.02°, I 105, (2 6 0); 1.297 Å, 72.93°, I 158, (1 6 2); 1.292 Å, 73.27°, I 188, (2 3 3)

Structural model:
a b c (Å): 4.7882 9.4024 5.2803
angles (deg): 90.00 90.00 90.00
Space group Amm2 (No. 38)
Inequivalent atoms, fractional coordinates:
Mg1 0.0000 0.0000 0.0000 [2 per cell]
Mg2 0.5000 0.1697 0.8147 [4 per cell]
Ga1 0.0000 0.1665 0.4956 [4 per cell]
Ga2 0.5000 0.0000 0.3199 [2 per cell]